# LaPmNd
Theoretical powder diffractogram, Cu Kα (λ = 1.5418 Å). Input: a structure optimized by DFT (GGA-PBE).
Intensities are scaled so that the largest is 100.

Most intense lines, 2θ = 5–70°, in order of rising 2θ:
| 2theta | intensity |
| --- | --- |
| 24.92 | 3 |
| 30.58 | 100 |
| 39.82 | 5 |
| 43.79 | 18 |
| 51.14 | 4 |
| 54.29 | 17 |
| 54.35 | 12 |
| 60.74 | 15 |
| 63.54 | 4 |
| 63.66 | 2 |

Crystal structure
```
6
Lattice="-3.573 5.075 2.923 3.573 -5.075 2.923 3.573 5.075 -2.923" Properties=species:S:1:pos:R:3 pbc="T T T"
La 1.786 1.752 0.000
La 1.786 3.323 2.923
Pm 5.359 1.667 0.023
Pm -1.786 3.408 2.947
Nd 0.000 5.075 0.014
Nd 0.000 0.000 2.938
```


# La5Pm4Nd
Theoretical powder diffractogram, Cu Kα (λ = 1.5418 Å). Input: a structure optimized by DFT (GGA-PBE).
Intensities are scaled so that the largest is 100.

Most intense lines, 2θ = 5–70°, in order of rising 2θ:
| 2theta | intensity |
| --- | --- |
| 29.10 | 60 |
| 31.27 | 100 |
| 41.62 | 23 |
| 47.83 | 8 |
| 52.96 | 45 |
| 56.97 | 18 |
| 60.32 | 8 |
| 65.23 | 12 |
| 68.35 | 10 |
| 69.52 | 10 |

Crystal structure
```
10
Lattice="4.340 0.000 0.000 0.000 4.340 0.000 0.000 0.000 19.018" Properties=species:S:1:pos:R:3 pbc="T T T"
La 0.000 0.000 0.000
La 0.000 0.000 3.807
La 0.000 0.000 7.584
La 0.000 0.000 11.434
La 0.000 0.000 15.211
Pm 2.170 2.170 1.899
Pm 2.170 2.170 5.707
Pm 2.170 2.170 13.311
Pm 2.170 2.170 17.119
Nd 2.170 2.170 9.509
```


# La5Pm3Nd2
Theoretical powder diffractogram, Cu Kα (λ = 1.5418 Å). Input: a structure optimized by DFT (GGA-PBE).
Intensities are scaled so that the largest is 100.

Most intense lines, 2θ = 5–70°, in order of rising 2θ:
| 2theta | intensity |
| --- | --- |
| 28.68 | 95 |
| 30.55 | 100 |
| 31.63 | 20 |
| 31.95 | 49 |
| 33.30 | 18 |
| 35.00 | 24 |
| 48.26 | 22 |
| 56.06 | 18 |
| 59.05 | 24 |
| 61.32 | 28 |

Crystal structure
```
20
Lattice="5.603 -7.478 0.000 5.603 7.478 0.000 -5.589 0.000 8.650" Properties=species:S:1:pos:R:3 pbc="T T T"
La 1.411 7.199 6.487
La -1.385 1.904 6.533
La 1.411 4.098 6.487
La 1.409 -1.904 2.208
La 4.206 0.389 2.162
La 1.411 -0.389 6.487
La 4.208 1.904 6.442
La 4.206 -4.098 2.162
La 7.002 -1.904 2.117
La 4.206 -7.199 2.162
Pm 1.408 1.873 3.848
Pm 4.206 3.472 2.162
Pm -1.387 -1.873 8.173
Pm 7.004 1.873 0.477
Pm 1.411 -3.472 6.487
Pm 4.209 -1.873 4.802
Nd 1.398 1.893 0.524
Nd -1.396 -1.893 4.849
Nd 7.013 1.893 3.801
Nd 4.219 -1.893 8.126
```


# LaPm3Nd
Theoretical powder diffractogram, Cu Kα (λ = 1.5418 Å). Input: a structure optimized by DFT (GGA-PBE).
Intensities are scaled so that the largest is 100.

Most intense lines, 2θ = 5–70°, in order of rising 2θ:
| 2theta | intensity |
| --- | --- |
| 27.74 | 17 |
| 27.84 | 10 |
| 30.01 | 30 |
| 31.63 | 100 |
| 31.74 | 19 |
| 41.32 | 16 |
| 49.19 | 15 |
| 54.30 | 22 |
| 58.53 | 9 |
| 59.54 | 12 |

Crystal structure
```
10
Lattice="11.298 -1.859 0.000 11.298 1.859 0.000 -2.317 0.000 8.446" Properties=species:S:1:pos:R:3 pbc="T T T"
La 4.136 0.000 2.687
La 16.144 0.000 5.759
Pm -1.295 0.000 6.046
Pm 2.090 0.000 7.454
Pm 7.580 0.000 4.069
Pm 12.699 0.000 4.377
Pm 18.190 0.000 0.992
Pm 21.575 0.000 2.400
Nd 7.291 0.000 7.786
Nd 12.988 0.000 0.660
```


# La3Pm5Nd4
Theoretical powder diffractogram, Cu Kα (λ = 1.5418 Å). Input: a structure optimized by DFT (GGA-PBE).
Intensities are scaled so that the largest is 100.

Most intense lines, 2θ = 5–70°, in order of rising 2θ:
| 2theta | intensity |
| --- | --- |
| 29.66 | 100 |
| 29.72 | 33 |
| 34.40 | 68 |
| 49.40 | 32 |
| 49.52 | 16 |
| 58.65 | 19 |
| 58.76 | 34 |
| 58.86 | 5 |
| 61.49 | 4 |
| 61.63 | 8 |

Crystal structure
```
12
Lattice="6.385 0.000 0.000 0.012 7.360 0.000 0.012 0.004 9.048" Properties=species:S:1:pos:R:3 pbc="T T T"
La 0.000 0.000 0.000
La 1.072 1.839 3.008
La 5.337 5.525 6.041
Pm 0.006 3.680 0.000
Pm 2.142 0.006 6.038
Pm 3.204 5.519 9.048
Pm 3.205 1.844 0.000
Pm 4.267 7.358 3.010
Nd 1.086 5.520 3.015
Nd 2.136 3.682 6.040
Nd 4.273 3.682 3.008
Nd 5.323 1.844 6.034
```


# LaPm6Nd4
Theoretical powder diffractogram, Cu Kα (λ = 1.5418 Å). Input: a structure optimized by DFT (GGA-PBE).
Intensities are scaled so that the largest is 100.

Most intense lines, 2θ = 5–70°, in order of rising 2θ:
| 2theta | intensity |
| --- | --- |
| 27.59 | 34 |
| 28.52 | 79 |
| 30.30 | 100 |
| 33.58 | 62 |
| 35.84 | 32 |
| 38.07 | 24 |
| 39.43 | 28 |
| 49.37 | 25 |
| 55.95 | 23 |
| 57.03 | 26 |

Crystal structure
```
11
Lattice="-3.343 3.343 8.865 3.343 -3.343 8.865 3.343 3.343 -8.865" Properties=species:S:1:pos:R:3 pbc="T T T"
La 0.000 0.000 0.000
Pm 3.343 0.000 0.000
Pm 2.140 2.140 -2.260
Pm 1.203 -1.203 11.125
Pm 0.000 3.343 0.000
Pm 1.203 1.203 6.605
Pm -1.203 1.203 11.125
Nd 2.069 -2.069 5.660
Nd 1.273 1.273 3.205
Nd -2.069 2.069 5.660
Nd 2.069 2.069 12.070
```


# La8Pm3Nd
Theoretical powder diffractogram, Cu Kα (λ = 1.5418 Å). Input: a structure optimized by DFT (GGA-PBE).
Intensities are scaled so that the largest is 100.

Most intense lines, 2θ = 5–70°, in order of rising 2θ:
| 2theta | intensity |
| --- | --- |
| 24.81 | 21 |
| 29.46 | 63 |
| 29.64 | 100 |
| 29.77 | 33 |
| 30.18 | 28 |
| 30.28 | 33 |
| 30.48 | 49 |
| 31.38 | 14 |
| 32.92 | 17 |
| 33.94 | 33 |

Crystal structure
```
12
Lattice="8.052 -4.489 0.000 8.052 4.489 0.000 -2.614 0.000 5.987" Properties=species:S:1:pos:R:3 pbc="T T T"
La 0.295 0.000 1.894
La 0.387 0.015 5.489
La 2.348 -2.229 3.880
La 5.051 -1.192 2.177
La 8.439 -1.192 3.809
La 13.103 0.015 0.498
La 13.195 0.000 4.093
La 11.141 -2.229 2.106
Pm 3.727 1.269 5.333
Pm 6.745 1.731 2.993
Pm 9.763 1.269 0.654
Nd 8.052 -1.686 0.000
```


# La6PmNd8
Theoretical powder diffractogram, Cu Kα (λ = 1.5418 Å). Input: a structure optimized by DFT (GGA-PBE).
Intensities are scaled so that the largest is 100.

Most intense lines, 2θ = 5–70°, in order of rising 2θ:
| 2theta | intensity |
| --- | --- |
| 28.32 | 35 |
| 29.87 | 46 |
| 30.18 | 100 |
| 33.09 | 81 |
| 36.81 | 17 |
| 48.93 | 35 |
| 51.30 | 22 |
| 56.94 | 18 |
| 58.39 | 42 |
| 58.57 | 15 |

Crystal structure
```
15
Lattice="3.224 1.862 14.956 -3.224 1.862 14.956 0.000 -3.723 14.956" Properties=species:S:1:pos:R:3 pbc="T T T"
La -1.074 -1.863 17.954
La -2.151 -0.001 26.913
La -1.076 1.862 17.954
La 1.076 -1.862 26.913
La 2.151 0.001 17.954
La 1.074 1.863 26.913
Pm 0.000 0.000 0.000
Nd -2.149 0.000 20.953
Nd -1.074 -1.861 23.914
Nd 0.000 0.000 14.956
Nd 1.075 -1.861 20.953
Nd -1.075 1.861 23.914
Nd 0.000 0.000 29.911
Nd 1.074 1.861 20.953
Nd 2.149 0.000 23.914
```


# La3Pm2Nd7
Theoretical powder diffractogram, Cu Kα (λ = 1.5418 Å). Input: a structure optimized by DFT (GGA-PBE).
Intensities are scaled so that the largest is 100.

Most intense lines, 2θ = 5–70°, in order of rising 2θ:
| 2theta | intensity |
| --- | --- |
| 28.82 | 59 |
| 29.66 | 86 |
| 29.73 | 100 |
| 30.36 | 100 |
| 32.60 | 69 |
| 33.67 | 78 |
| 36.72 | 27 |
| 48.53 | 37 |
| 50.27 | 25 |
| 59.49 | 56 |

Crystal structure
```
12
Lattice="6.574 0.000 0.000 0.000 3.629 0.000 -1.987 0.000 18.032" Properties=species:S:1:pos:R:3 pbc="T T T"
La 0.000 0.000 0.000
La -1.006 1.815 11.928
La 5.593 1.815 6.104
Pm 2.285 0.000 5.944
Pm 2.302 0.000 12.088
Nd 1.176 1.815 3.014
Nd 0.617 0.000 9.017
Nd 0.154 0.000 15.016
Nd 3.287 1.815 0.000
Nd 4.433 0.000 3.016
Nd 3.969 0.000 9.015
Nd 3.411 1.815 15.018
```


# La4PmNd5
Theoretical powder diffractogram, Cu Kα (λ = 1.5418 Å). Input: a structure optimized by DFT (GGA-PBE).
Intensities are scaled so that the largest is 100.

Most intense lines, 2θ = 5–70°, in order of rising 2θ:
| 2theta | intensity |
| --- | --- |
| 27.64 | 23 |
| 28.89 | 100 |
| 30.09 | 45 |
| 30.32 | 35 |
| 35.47 | 32 |
| 37.50 | 15 |
| 51.04 | 16 |
| 52.00 | 27 |
| 56.60 | 14 |
| 59.71 | 18 |

Crystal structure
```
20
Lattice="10.736 0.000 0.000 0.000 10.736 0.000 0.000 0.000 6.131" Properties=species:S:1:pos:R:3 pbc="T T T"
La 0.526 8.052 0.804
La 2.684 5.894 5.327
La 2.684 10.210 5.327
La 4.842 8.052 0.804
La 5.894 2.684 5.327
La 8.052 0.526 0.804
La 8.052 4.842 0.804
La 10.210 2.684 5.327
Pm 2.684 2.684 5.113
Pm 8.052 8.052 1.018
Nd 0.967 0.967 2.115
Nd 0.967 4.401 2.115
Nd 2.684 8.052 3.066
Nd 4.401 0.967 2.115
Nd 4.401 4.401 2.115
Nd 6.335 6.335 4.016
Nd 6.335 9.769 4.016
Nd 8.052 2.684 3.066
Nd 9.769 6.335 4.016
Nd 9.769 9.769 4.016
```


# LaPm3Nd4
Theoretical powder diffractogram, Cu Kα (λ = 1.5418 Å). Input: a structure optimized by DFT (GGA-PBE).
Intensities are scaled so that the largest is 100.

Most intense lines, 2θ = 5–70°, in order of rising 2θ:
| 2theta | intensity |
| --- | --- |
| 29.74 | 100 |
| 34.47 | 51 |
| 49.55 | 36 |
| 58.86 | 43 |
| 61.76 | 12 |

Crystal structure
```
16
Lattice="10.408 0.000 0.000 0.000 7.360 0.000 0.000 0.000 7.356" Properties=species:S:1:pos:R:3 pbc="T T T"
La 0.000 0.000 0.000
La 5.204 0.000 3.678
Pm 0.000 3.680 3.678
Pm 2.602 1.850 1.839
Pm 2.602 5.509 5.517
Pm 5.204 3.680 0.000
Pm 7.806 1.850 1.839
Pm 7.806 5.509 5.517
Nd 0.000 0.000 3.678
Nd 0.000 3.680 0.000
Nd 2.602 1.851 5.517
Nd 2.602 5.508 1.839
Nd 5.204 0.000 0.000
Nd 5.204 3.680 3.678
Nd 7.806 1.851 5.517
Nd 7.806 5.508 1.839
```


# LaPmNd2
Theoretical powder diffractogram, Cu Kα (λ = 1.5418 Å). Input: a structure optimized by DFT (GGA-PBE).
Intensities are scaled so that the largest is 100.

Most intense lines, 2θ = 5–70°, in order of rising 2θ:
| 2theta | intensity |
| --- | --- |
| 29.65 | 100 |
| 34.25 | 17 |
| 34.44 | 34 |
| 49.37 | 30 |
| 49.59 | 6 |
| 58.52 | 15 |
| 58.70 | 14 |
| 58.83 | 14 |
| 61.49 | 6 |
| 61.65 | 6 |

Crystal structure
```
4
Lattice="3.690 0.000 0.000 0.000 5.236 0.000 0.000 0.000 7.353" Properties=species:S:1:pos:R:3 pbc="T T T"
La 0.000 0.000 0.000
Pm 0.000 0.000 3.676
Nd 1.845 2.618 1.860
Nd 1.845 2.618 5.493
```


# La7PmNd4
Theoretical powder diffractogram, Cu Kα (λ = 1.5418 Å). Input: a structure optimized by DFT (GGA-PBE).
Intensities are scaled so that the largest is 100.

Most intense lines, 2θ = 5–70°, in order of rising 2θ:
| 2theta | intensity |
| --- | --- |
| 27.71 | 35 |
| 29.86 | 49 |
| 30.60 | 100 |
| 32.22 | 84 |
| 38.55 | 16 |
| 48.64 | 38 |
| 52.41 | 23 |
| 55.54 | 17 |
| 58.12 | 44 |
| 58.56 | 16 |

Crystal structure
```
12
Lattice="6.487 0.000 0.000 0.000 7.486 0.000 2.166 0.010 8.978" Properties=species:S:1:pos:R:3 pbc="T T T"
La 0.000 0.000 0.000
La 2.160 3.738 2.978
La 3.255 5.623 5.995
La 5.411 1.885 8.971
La 3.243 5.610 0.007
La 5.399 1.872 2.983
La 6.494 3.757 6.000
Pm 0.000 3.743 0.000
Nd 2.168 0.004 2.976
Nd 3.238 1.873 6.017
Nd 5.416 5.622 2.960
Nd 6.486 7.491 6.002
```